This entry pairs a crystal structure of YHoAg with its theoretical XRD peak list. Radiation: Cu Kα (λ = 1.5418 Å). Structure: a structure optimized by DFT (GGA-PBE).
Neutral-atom scattering factors, no anomalous dispersion.

```
YHoAg
1.0
7.050 0.000 0.000
0.000 5.050 0.000
0.000 0.000 9.062
Y Ho Ag
4 4 4
direct
0.017 0.250 0.185
0.483 0.750 0.685
0.517 0.250 0.315
0.983 0.750 0.815
0.151 0.250 0.578
0.349 0.750 0.078
0.651 0.250 0.922
0.849 0.750 0.422
0.240 0.250 0.898
0.260 0.750 0.398
0.740 0.250 0.602
0.760 0.750 0.102
```

The 12 most intense peaks (2θ = 15–90°), in order of rising 2θ:
2θ 29.36, I = 66; 2θ 30.94, I = 53; 2θ 32.20, I = 33; 2θ 32.52, I = 80; 2θ 34.60, I = 100; 2θ 35.56, I = 70; 2θ 36.91, I = 19; 2θ 39.27, I = 27; 2θ 43.35, I = 36; 2θ 48.72, I = 20; 2θ 54.01, I = 19; 2θ 59.56, I = 22


This entry pairs a crystal structure of HoZn3Ag3 with its theoretical XRD peak list. Radiation: Cu Kα (λ = 1.5418 Å). Structure: a structure optimized by DFT (GGA-PBE).
Neutral-atom scattering factors, no anomalous dispersion.

```
HoZn3Ag3
1.0
0.000 6.093 6.093
6.093 0.000 6.093
6.093 6.093 0.000
Ho Zn Ag
2 6 6
direct
0.250 0.250 0.250
0.750 0.750 0.750
0.147 0.147 0.853
0.147 0.853 0.147
0.147 0.853 0.853
0.853 0.147 0.147
0.853 0.147 0.853
0.853 0.853 0.147
0.341 0.341 0.659
0.341 0.659 0.341
0.341 0.659 0.659
0.659 0.341 0.341
0.659 0.341 0.659
0.659 0.659 0.341
```

The 12 most intense peaks (2θ = 15–90°), in order of rising 2θ:
2θ 20.62, I = 62; 2θ 25.32, I = 71; 2θ 29.32, I = 44; 2θ 32.87, I = 27; 2θ 44.62, I = 100; 2θ 47.17, I = 58; 2θ 60.81, I = 10; 2θ 64.93, I = 25; 2θ 70.88, I = 21; 2θ 72.81, I = 10; 2θ 80.36, I = 10; 2θ 82.21, I = 14


This entry pairs a crystal structure of Ho5Zn2Ag with its theoretical XRD peak list. Radiation: Cu Kα (λ = 1.5418 Å). Structure: a structure optimized by DFT (GGA-PBE).
Neutral-atom scattering factors, no anomalous dispersion.

```
Ho5Zn2Ag
1.0
-3.655 3.655 7.635
3.655 -3.655 7.635
3.655 3.655 -7.635
Ho Zn Ag
10 4 2
direct
0.000 0.000 0.000
0.017 0.517 0.834
0.183 0.017 0.500
0.317 0.817 0.834
0.483 0.317 0.500
0.500 0.500 0.000
0.517 0.683 0.500
0.683 0.183 0.166
0.817 0.983 0.500
0.983 0.483 0.166
0.122 0.378 0.500
0.378 0.878 0.255
0.622 0.122 0.745
0.878 0.622 0.500
0.250 0.250 0.000
0.750 0.750 0.000
```

The 12 most intense peaks (2θ = 15–90°), in order of rising 2θ:
2θ 27.91, I = 16; 2θ 29.08, I = 23; 2θ 32.55, I = 100; 2θ 33.96, I = 42; 2θ 34.71, I = 13; 2θ 35.27, I = 16; 2θ 38.96, I = 43; 2θ 50.29, I = 14; 2θ 53.56, I = 11; 2θ 54.83, I = 15; 2θ 58.80, I = 16; 2θ 68.16, I = 10


This entry pairs a crystal structure of Ho3Zn3Ag with its theoretical XRD peak list. Radiation: Cu Kα (λ = 1.5418 Å). Structure: a structure optimized by DFT (GGA-PBE).
Neutral-atom scattering factors, no anomalous dispersion.

```
Ho3Zn3Ag
1.0
3.564 0.000 0.000
0.000 4.493 0.000
0.000 0.000 19.404
Ho Zn Ag
6 6 2
direct
0.000 0.000 0.000
0.000 0.000 0.390
0.000 0.500 0.192
0.500 0.000 0.692
0.500 0.500 0.500
0.500 0.500 0.890
0.000 0.000 0.554
0.000 0.000 0.838
0.000 0.500 0.625
0.500 0.000 0.125
0.500 0.500 0.054
0.500 0.500 0.338
0.000 0.500 0.760
0.500 0.000 0.260
```

The 12 most intense peaks (2θ = 15–90°), in order of rising 2θ:
2θ 24.12, I = 24; 2θ 33.39, I = 100; 2θ 34.16, I = 55; 2θ 37.13, I = 13; 2θ 38.15, I = 53; 2θ 40.14, I = 31; 2θ 49.40, I = 10; 2θ 51.26, I = 15; 2θ 53.70, I = 30; 2θ 65.66, I = 21; 2θ 67.03, I = 14; 2θ 68.66, I = 12


This entry pairs a crystal structure of HoZn3Ag9 with its theoretical XRD peak list. Radiation: Cu Kα (λ = 1.5418 Å). Structure: a structure optimized by DFT (GGA-PBE).
Neutral-atom scattering factors, no anomalous dispersion.

```
HoZn3Ag9
1.0
2.652 -6.658 0.000
2.652 6.658 0.000
-2.331 0.000 6.687
Ho Zn Ag
1 3 9
direct
0.000 0.000 0.000
0.000 0.500 0.000
0.500 0.000 0.000
0.500 0.500 0.500
0.000 0.000 0.500
0.022 0.667 0.658
0.301 0.517 0.789
0.333 0.978 0.342
0.483 0.699 0.211
0.517 0.301 0.789
0.667 0.022 0.658
0.699 0.483 0.211
0.978 0.333 0.342
```

The 12 most intense peaks (2θ = 15–90°), in order of rising 2θ:
2θ 32.61, I = 47; 2θ 33.63, I = 51; 2θ 33.84, I = 45; 2θ 37.55, I = 56; 2θ 38.15, I = 100; 2θ 38.28, I = 72; 2θ 38.41, I = 49; 2θ 38.57, I = 40; 2θ 39.04, I = 41; 2θ 39.58, I = 53; 2θ 42.75, I = 34; 2θ 43.67, I = 49


This entry pairs a crystal structure of Ho3Zn4Ag4 with its theoretical XRD peak list. Radiation: Cu Kα (λ = 1.5418 Å). Structure: a structure optimized by DFT (GGA-PBE).
Neutral-atom scattering factors, no anomalous dispersion.

```
Ho3Zn4Ag4
1.0
14.228 -1.737 0.000
14.228 1.737 0.000
-0.716 0.000 4.512
Ho Zn Ag
3 4 4
direct
0.000 0.000 0.000
0.140 0.140 0.639
0.860 0.860 0.361
0.313 0.313 0.813
0.455 0.455 0.455
0.545 0.545 0.545
0.687 0.687 0.187
0.263 0.263 0.263
0.407 0.407 0.908
0.593 0.593 0.092
0.737 0.737 0.737
```

The 12 most intense peaks (2θ = 15–90°), in order of rising 2θ:
2θ 21.64, I = 11; 2θ 34.13, I = 46; 2θ 34.87, I = 100; 2θ 39.45, I = 33; 2θ 40.38, I = 27; 2θ 40.52, I = 27; 2θ 52.69, I = 14; 2θ 53.06, I = 13; 2θ 53.20, I = 13; 2θ 55.74, I = 11; 2θ 67.77, I = 13; 2θ 68.47, I = 22


This entry pairs a crystal structure of HoZn5Ag7 with its theoretical XRD peak list. Radiation: Cu Kα (λ = 1.5418 Å). Structure: a structure optimized by DFT (GGA-PBE).
Neutral-atom scattering factors, no anomalous dispersion.

```
HoZn5Ag7
1.0
5.325 -4.633 0.000
5.325 4.633 0.000
-2.499 0.000 4.605
Ho Zn Ag
1 5 7
direct
0.000 0.000 0.000
0.495 0.992 0.493
0.496 0.993 0.995
0.776 0.776 0.277
0.992 0.495 0.493
0.993 0.496 0.995
0.196 0.787 0.493
0.216 0.216 0.716
0.342 0.651 0.997
0.348 0.348 0.344
0.651 0.342 0.997
0.657 0.657 0.661
0.787 0.196 0.493
```

The 12 most intense peaks (2θ = 15–90°), in order of rising 2θ:
2θ 33.69, I = 74; 2θ 34.24, I = 41; 2θ 38.47, I = 41; 2θ 38.58, I = 37; 2θ 38.83, I = 75; 2θ 39.08, I = 100; 2θ 39.53, I = 35; 2θ 39.72, I = 21; 2θ 43.91, I = 37; 2θ 44.46, I = 29; 2θ 69.60, I = 21; 2θ 70.83, I = 28


This entry pairs a crystal structure of Ho3Zn6Ag5 with its theoretical XRD peak list. Radiation: Cu Kα (λ = 1.5418 Å). Structure: a structure optimized by DFT (GGA-PBE).
Neutral-atom scattering factors, no anomalous dispersion.

```
Ho3Zn6Ag5
1.0
-2.209 4.685 6.523
2.209 -4.685 6.523
2.209 4.685 -6.523
Ho Zn Ag
3 6 5
direct
0.000 0.000 0.000
0.297 0.297 0.000
0.703 0.703 0.000
0.157 0.870 0.287
0.318 0.500 0.818
0.417 0.130 0.287
0.583 0.870 0.713
0.682 0.500 0.182
0.843 0.130 0.713
0.018 0.665 0.353
0.311 0.665 0.647
0.500 0.000 0.500
0.689 0.335 0.353
0.982 0.335 0.647
```

The 12 most intense peaks (2θ = 15–90°), in order of rising 2θ:
2θ 28.80, I = 63; 2θ 33.48, I = 44; 2θ 34.70, I = 100; 2θ 35.19, I = 70; 2θ 35.38, I = 50; 2θ 35.53, I = 38; 2θ 37.88, I = 52; 2θ 40.85, I = 73; 2θ 41.53, I = 30; 2θ 44.32, I = 27; 2θ 55.12, I = 28; 2θ 67.65, I = 25


This entry pairs a crystal structure of HoZnAg4 with its theoretical XRD peak list. Radiation: Cu Kα (λ = 1.5418 Å). Structure: a structure optimized by DFT (GGA-PBE).
Neutral-atom scattering factors, no anomalous dispersion.

```
HoZnAg4
1.0
4.933 0.000 0.000
0.006 4.933 0.000
2.437 2.426 9.528
Ho Zn Ag
2 2 8
direct
0.249 0.250 0.000
0.751 0.750 0.000
0.000 0.500 0.500
0.500 0.000 0.500
0.073 0.076 0.351
0.157 0.655 0.191
0.347 0.845 0.809
0.423 0.424 0.649
0.577 0.576 0.351
0.653 0.155 0.191
0.843 0.345 0.809
0.927 0.924 0.649
```

The 12 most intense peaks (2θ = 15–90°), in order of rising 2θ:
2θ 31.83, I = 14; 2θ 36.43, I = 86; 2θ 38.21, I = 34; 2θ 38.37, I = 100; 2θ 52.46, I = 29; 2θ 66.64, I = 13; 2θ 66.76, I = 12; 2θ 66.92, I = 24; 2θ 70.39, I = 8; 2θ 70.68, I = 7; 2θ 77.38, I = 9; 2θ 89.92, I = 9


This entry pairs a crystal structure of Ho3Zn4Ag2 with its theoretical XRD peak list. Radiation: Cu Kα (λ = 1.5418 Å). Structure: a structure optimized by DFT (GGA-PBE).
Neutral-atom scattering factors, no anomalous dispersion.

```
Ho3Zn4Ag2
1.0
5.250 -2.268 0.000
5.250 2.268 0.000
-3.709 0.000 7.826
Ho Zn Ag
3 4 2
direct
0.000 0.000 0.000
0.330 0.330 0.335
0.670 0.670 0.665
0.045 0.045 0.385
0.273 0.273 0.946
0.727 0.727 0.054
0.955 0.955 0.615
0.393 0.393 0.727
0.607 0.607 0.273
```

The 12 most intense peaks (2θ = 15–90°), in order of rising 2θ:
2θ 22.58, I = 11; 2θ 34.38, I = 20; 2θ 34.53, I = 100; 2θ 39.46, I = 50; 2θ 39.75, I = 25; 2θ 53.03, I = 10; 2θ 53.58, I = 22; 2θ 67.96, I = 10; 2θ 68.21, I = 24; 2θ 68.39, I = 11; 2θ 68.81, I = 11; 2θ 71.95, I = 8


This entry pairs a crystal structure of Ag4I with its theoretical XRD peak list. Radiation: Cu Kα (λ = 1.5418 Å). Structure: a structure optimized by DFT (GGA-PBE).
Neutral-atom scattering factors, no anomalous dispersion.

```
Ag4I
1.0
5.489 0.000 0.000
0.000 5.489 0.000
0.000 0.000 5.489
Ag I
4 1
direct
0.000 0.000 0.000
0.000 0.500 0.500
0.500 0.000 0.500
0.500 0.500 0.000
0.500 0.500 0.500
```

The 12 most intense peaks (2θ = 15–90°), in order of rising 2θ:
2θ 16.15, I = 27; 2θ 22.91, I = 23; 2θ 28.16, I = 63; 2θ 32.63, I = 100; 2θ 36.61, I = 14; 2θ 40.25, I = 11; 2θ 46.81, I = 71; 2θ 55.53, I = 26; 2θ 58.23, I = 24; 2θ 68.36, I = 11; 2θ 77.82, I = 30; 2θ 86.96, I = 23


This entry pairs a crystal structure of Ag2I5 with its theoretical XRD peak list. Radiation: Cu Kα (λ = 1.5418 Å). Structure: a structure optimized by DFT (GGA-PBE).
Neutral-atom scattering factors, no anomalous dispersion.

```
Ag2I5
1.0
8.276 0.000 0.000
0.000 8.276 0.000
0.000 0.000 7.886
Ag I
4 10
direct
0.000 0.500 0.250
0.000 0.500 0.750
0.500 0.000 0.250
0.500 0.000 0.750
0.000 0.000 0.000
0.161 0.693 0.500
0.193 0.339 0.000
0.307 0.161 0.500
0.339 0.807 0.000
0.500 0.500 0.500
0.661 0.193 0.000
0.693 0.839 0.500
0.807 0.661 0.000
0.839 0.307 0.500
```

The 12 most intense peaks (2θ = 15–90°), in order of rising 2θ:
2θ 15.14, I = 22; 2θ 22.55, I = 19; 2θ 26.60, I = 100; 2θ 27.27, I = 20; 2θ 30.55, I = 30; 2θ 31.34, I = 33; 2θ 41.41, I = 62; 2θ 42.16, I = 29; 2θ 46.03, I = 13; 2θ 46.70, I = 21; 2θ 49.24, I = 12; 2θ 70.52, I = 18